# 1
Calculated PXRD pattern
Compound: Tm4CoRh
Radiation: copper Kα
Structure: a PBE-relaxed structure
Kinematic intensities with the Lorentz-polarization factor, no thermal factor.

Crystal structure
```
Tm4CoRh
1.0
4.343 -6.418 0.000
4.343 6.418 0.000
-3.340 0.000 5.022
Tm Co Rh
8 2 2
direct
0.049 0.693 0.899
0.235 0.358 0.727
0.307 0.951 0.601
0.358 0.235 0.227
0.642 0.765 0.773
0.693 0.049 0.399
0.765 0.642 0.273
0.951 0.307 0.101
0.001 0.999 0.250
0.999 0.001 0.750
0.361 0.639 0.250
0.639 0.361 0.750
```

Largest 6 diffraction maxima, in order of falling intensity, 5° ≤ 2θ ≤ 70°:
d [Å], I (rel.)
2.704, 100
2.814, 81
2.563, 63
2.417, 54
2.228, 49
2.100, 38


# 2
Calculated PXRD pattern
Compound: ThZr4Sc8
Radiation: copper Kα
Structure: a PBE-relaxed structure
Kinematic intensities with the Lorentz-polarization factor, no thermal factor.

Crystal structure
```
ThZr4Sc8
1.0
5.834 0.000 0.000
2.916 5.063 0.000
1.785 -0.008 11.052
Th Zr Sc
1 4 8
direct
0.000 0.000 0.000
0.000 0.000 0.500
0.000 0.500 0.500
0.500 0.000 0.500
0.500 0.500 0.500
0.083 0.665 0.755
0.251 0.666 0.245
0.332 0.335 0.000
0.409 0.999 0.766
0.591 0.001 0.234
0.668 0.665 0.000
0.749 0.334 0.755
0.917 0.335 0.245
```

Largest 6 diffraction maxima, in order of falling intensity, 5° ≤ 2θ ≤ 70°:
d [Å], I (rel.)
2.763, 100
5.526, 99
2.876, 68
2.666, 59
2.503, 47
2.171, 47


# 3
Calculated PXRD pattern
Compound: Sm7CS5
Radiation: copper Kα
Structure: a PBE-relaxed structure
Kinematic intensities with the Lorentz-polarization factor, no thermal factor.

Crystal structure
```
Sm7CS5
1.0
6.595 -1.923 0.000
6.595 1.923 0.000
-0.005 0.000 23.955
Sm C S
14 2 10
direct
0.000 0.000 0.000
0.001 0.001 0.139
0.107 0.107 0.702
0.133 0.133 0.425
0.274 0.274 0.925
0.300 0.300 0.202
0.406 0.406 0.639
0.407 0.407 0.500
0.556 0.556 0.859
0.573 0.573 0.284
0.648 0.648 0.572
0.759 0.759 0.072
0.834 0.834 0.784
0.851 0.851 0.360
0.028 0.028 0.606
0.379 0.379 0.106
0.191 0.191 0.817
0.216 0.216 0.317
0.474 0.474 0.748
0.490 0.490 0.393
0.641 0.641 0.968
0.653 0.653 0.174
0.754 0.754 0.674
0.766 0.766 0.468
0.917 0.917 0.893
0.933 0.933 0.248
```

Largest 6 diffraction maxima, in order of falling intensity, 5° ≤ 2θ ≤ 70°:
d [Å], I (rel.)
3.038, 100
2.724, 99
2.814, 74
3.143, 58
3.267, 47
3.352, 46


# 4
Calculated PXRD pattern
Compound: Pa3NbN4
Radiation: copper Kα
Structure: a PBE-relaxed structure
Kinematic intensities with the Lorentz-polarization factor, no thermal factor.

Crystal structure
```
Pa3NbN4
1.0
5.884 0.000 0.000
0.000 6.829 0.000
-2.015 0.000 5.598
Pa Nb N
6 2 8
direct
0.000 0.120 0.250
0.000 0.371 0.750
0.000 0.629 0.250
0.000 0.880 0.750
0.500 0.369 0.250
0.500 0.631 0.750
0.500 0.132 0.750
0.500 0.868 0.250
0.259 0.367 0.507
0.259 0.633 0.007
0.268 0.115 0.002
0.268 0.885 0.502
0.732 0.115 0.498
0.732 0.885 0.998
0.741 0.367 0.993
0.741 0.633 0.493
```

Largest 6 diffraction maxima, in order of falling intensity, 5° ≤ 2θ ≤ 70°:
d [Å], I (rel.)
2.790, 100
2.410, 89
2.799, 51
2.768, 49
1.701, 46
2.420, 45


Repeat the second record exactly.
Calculated PXRD pattern
Compound: ThZr4Sc8
Radiation: copper Kα
Structure: a PBE-relaxed structure
Kinematic intensities with the Lorentz-polarization factor, no thermal factor.

Crystal structure
```
ThZr4Sc8
1.0
5.834 0.000 0.000
2.916 5.063 0.000
1.785 -0.008 11.052
Th Zr Sc
1 4 8
direct
0.000 0.000 0.000
0.000 0.000 0.500
0.000 0.500 0.500
0.500 0.000 0.500
0.500 0.500 0.500
0.083 0.665 0.755
0.251 0.666 0.245
0.332 0.335 0.000
0.409 0.999 0.766
0.591 0.001 0.234
0.668 0.665 0.000
0.749 0.334 0.755
0.917 0.335 0.245
```

Largest 6 diffraction maxima, in order of falling intensity, 5° ≤ 2θ ≤ 70°:
d [Å], I (rel.)
2.763, 100
5.526, 99
2.876, 68
2.666, 59
2.503, 47
2.171, 47


Please write out number 1 again, unchanged.
Calculated PXRD pattern
Compound: Tm4CoRh
Radiation: copper Kα
Structure: a PBE-relaxed structure
Kinematic intensities with the Lorentz-polarization factor, no thermal factor.

Crystal structure
```
Tm4CoRh
1.0
4.343 -6.418 0.000
4.343 6.418 0.000
-3.340 0.000 5.022
Tm Co Rh
8 2 2
direct
0.049 0.693 0.899
0.235 0.358 0.727
0.307 0.951 0.601
0.358 0.235 0.227
0.642 0.765 0.773
0.693 0.049 0.399
0.765 0.642 0.273
0.951 0.307 0.101
0.001 0.999 0.250
0.999 0.001 0.750
0.361 0.639 0.250
0.639 0.361 0.750
```

Largest 6 diffraction maxima, in order of falling intensity, 5° ≤ 2θ ≤ 70°:
d [Å], I (rel.)
2.704, 100
2.814, 81
2.563, 63
2.417, 54
2.228, 49
2.100, 38